Ce6Pt23: theoretical X-ray diffraction stick pattern (Cu Kα (weighted mean of Kα1 and Kα2)), based on a DFT-relaxed cell (PBE, Alexandria).
Lines closer than 0.1° are merged.

Peak list (10 most intense, 10 to 90 degrees two-theta, by intensity)
2θ/deg, I_rel
39.20, 100
35.90, 26
41.08, 23
71.05, 23
13.62, 15
11.79, 14
72.33, 13
44.06, 11
65.41, 11
84.28, 10

Atomic structure:
```
data_Ce6Pt23
_cell_length_a 9.192
_cell_length_b 9.192
_cell_length_c 9.192
_cell_angle_alpha 60.00
_cell_angle_beta 60.00
_cell_angle_gamma 60.00
_space_group_name_H-M_alt 'P 1'
_space_group_IT_number 1
loop_
_space_group_symop_operation_xyz
'x,y,z'
loop_
_atom_site_label
_atom_site_type_symbol
_atom_site_fract_x
_atom_site_fract_y
_atom_site_fract_z
_atom_site_occupancy
Ce1 Ce 0.226 0.226 0.774 1
Ce2 Ce 0.226 0.774 0.226 1
Ce3 Ce 0.226 0.774 0.774 1
Ce4 Ce 0.774 0.226 0.226 1
Ce5 Ce 0.774 0.226 0.774 1
Ce6 Ce 0.774 0.774 0.226 1
Pt1 Pt 0.000 0.000 0.500 1
Pt2 Pt 0.000 0.500 0.000 1
Pt3 Pt 0.000 0.500 0.500 1
Pt4 Pt 0.133 0.622 0.622 1
Pt5 Pt 0.166 0.166 0.166 1
Pt6 Pt 0.166 0.166 0.501 1
Pt7 Pt 0.166 0.501 0.166 1
Pt8 Pt 0.378 0.378 0.378 1
Pt9 Pt 0.378 0.378 0.867 1
Pt10 Pt 0.378 0.867 0.378 1
Pt11 Pt 0.499 0.834 0.834 1
Pt12 Pt 0.500 0.000 0.000 1
Pt13 Pt 0.500 0.000 0.500 1
Pt14 Pt 0.500 0.500 0.000 1
Pt15 Pt 0.500 0.500 0.500 1
Pt16 Pt 0.501 0.166 0.166 1
Pt17 Pt 0.622 0.133 0.622 1
Pt18 Pt 0.622 0.622 0.133 1
Pt19 Pt 0.622 0.622 0.622 1
Pt20 Pt 0.834 0.499 0.834 1
Pt21 Pt 0.834 0.834 0.499 1
Pt22 Pt 0.834 0.834 0.834 1
Pt23 Pt 0.867 0.378 0.378 1
```